(1)
Calculated X-ray powder pattern
Compound: Dy2Mo2C3
Radiation: Cu Kα, 1.54184 Å
Structure: DFT lattice parameters and positions (PBE)

Most intense lines, 2θ = 10–80°, by angle:
- 30.7°, intensity 28
- 31.4°, intensity 38
- 32.9°, intensity 43
- 33.9°, intensity 25
- 34.3°, intensity 100
- 36.0°, intensity 93
- 43.4°, intensity 24
- 63.0°, intensity 27

Crystal structure
```
Dy2Mo2C3
1.0
5.8886 -1.6752 0.0000
5.8886 1.6752 0.0000
-2.1992 0.0000 5.2916
Dy Mo C
2 2 3
Cartesian
0.5828 0.0000 1.7139
8.9952 0.0000 3.5777
3.6499 0.0000 0.9242
5.9282 0.0000 4.3674
1.2780 0.0000 4.0576
4.7890 0.0000 2.6458
8.3001 0.0000 1.2339
```

(2)
Calculated X-ray powder pattern
Compound: Dy4CN3
Radiation: Cu Kα, 1.54184 Å
Structure: DFT lattice parameters and positions (PBE)

Most intense lines, 2θ = 10–80°, by angle:
- 31.3°, intensity 100
- 36.3°, intensity 70
- 52.2°, intensity 48
- 62.1°, intensity 45
- 65.2°, intensity 16
- 77.0°, intensity 8

Crystal structure
```
Dy4CN3
1.0
4.9538 0.0000 0.0000
0.0000 4.9538 0.0000
0.0000 0.0000 4.9538
Dy C N
4 1 3
Cartesian
0.0000 0.0000 0.0000
0.0000 2.4769 2.4769
2.4769 0.0000 2.4769
2.4769 2.4769 0.0000
2.4769 2.4769 2.4769
0.0000 0.0000 2.4769
0.0000 2.4769 0.0000
2.4769 0.0000 0.0000
```

(3)
Calculated X-ray powder pattern
Compound: DyC2N3
Radiation: Cu Kα, 1.54184 Å
Structure: DFT lattice parameters and positions (PBE)

Most intense lines, 2θ = 10–80°, by angle:
- 19.1°, intensity 100
- 23.3°, intensity 32
- 30.6°, intensity 40
- 31.3°, intensity 89
- 34.1°, intensity 36
- 46.3°, intensity 33
- 46.4°, intensity 30
- 54.3°, intensity 23

Crystal structure
```
DyC2N3
1.0
2.9257 -3.8184 0.0000
2.9257 3.8184 0.0000
0.0000 0.0000 3.6247
Dy C N
1 2 3
Cartesian
0.0000 0.0000 0.0000
2.9257 1.2111 1.3784
2.9257 -1.2111 1.3784
2.9257 2.3491 1.8978
2.9257 0.0000 1.9455
2.9257 -2.3491 1.8978
```